Entry 1:
# ErGa6Fe6
Simulated powder X-ray diffraction pattern, Cu Kα (weighted mean of Kα1 and Kα2). Input: a structure optimized by DFT (GGA-PBE).

Cell and atoms:
Cell lengths 8.6112, 6.6858, 6.5567 Å; angles 81.12, 50.09, 48.79 degrees
Fractional coordinates of all 13 atoms:
Er 0.0000 0.0000 0.0000
Ga 0.0000 0.0000 0.5000
Ga 0.0159 0.3499 0.6501
Ga 0.3499 0.0159 0.9841
Ga 0.5000 0.5000 0.0000
Ga 0.6501 0.9841 0.0159
Ga 0.9841 0.6501 0.3499
Fe 0.0000 0.5000 0.0000
Fe 0.2903 0.4923 0.5077
Fe 0.4923 0.2903 0.7097
Fe 0.5000 0.0000 0.5000
Fe 0.5077 0.7097 0.2903
Fe 0.7097 0.5077 0.4923

Main lines, low angle first (5 to 70 degrees two-theta):
34.47 deg, rel. 22
35.73 deg, rel. 73
40.51 deg, rel. 90
41.23 deg, rel. 65
41.99 deg, rel. 100
46.12 deg, rel. 20



Entry 2:
# Er3FeGe3
Simulated powder X-ray diffraction pattern, Cu Kα (weighted mean of Kα1 and Kα2). Input: a structure optimized by DFT (GGA-PBE).

Cell and atoms:
Cell lengths 5.5773, 5.5773, 13.4942 Å; angles 90.00, 90.00, 137.30 degrees
Fractional coordinates of all 14 atoms:
Er 0.0065 0.9935 0.7500
Er 0.2921 0.7079 0.6004
Er 0.2921 0.7079 0.8996
Er 0.7079 0.2921 0.1004
Er 0.7079 0.2921 0.3996
Er 0.9935 0.0065 0.2500
Fe 0.0000 0.0000 0.0000
Fe 0.0000 0.0000 0.5000
Ge 0.2727 0.7273 0.2500
Ge 0.4254 0.5746 0.0921
Ge 0.4254 0.5746 0.4079
Ge 0.5746 0.4254 0.5921
Ge 0.5746 0.4254 0.9079
Ge 0.7273 0.2727 0.7500

Main lines, low angle first (5 to 70 degrees two-theta):
30.89 deg, rel. 87
34.02 deg, rel. 79
35.66 deg, rel. 91
39.64 deg, rel. 100
40.09 deg, rel. 83
44.62 deg, rel. 52



Please write out number 1 again, unchanged.
# ErGa6Fe6
Simulated powder X-ray diffraction pattern, Cu Kα (weighted mean of Kα1 and Kα2). Input: a structure optimized by DFT (GGA-PBE).

Cell and atoms:
Cell lengths 8.6112, 6.6858, 6.5567 Å; angles 81.12, 50.09, 48.79 degrees
Fractional coordinates of all 13 atoms:
Er 0.0000 0.0000 0.0000
Ga 0.0000 0.0000 0.5000
Ga 0.0159 0.3499 0.6501
Ga 0.3499 0.0159 0.9841
Ga 0.5000 0.5000 0.0000
Ga 0.6501 0.9841 0.0159
Ga 0.9841 0.6501 0.3499
Fe 0.0000 0.5000 0.0000
Fe 0.2903 0.4923 0.5077
Fe 0.4923 0.2903 0.7097
Fe 0.5000 0.0000 0.5000
Fe 0.5077 0.7097 0.2903
Fe 0.7097 0.5077 0.4923

Main lines, low angle first (5 to 70 degrees two-theta):
34.47 deg, rel. 22
35.73 deg, rel. 73
40.51 deg, rel. 90
41.23 deg, rel. 65
41.99 deg, rel. 100
46.12 deg, rel. 20